Ti4Al11Ni: simulated XRD peak list (Cu Kα), based on the GGA-PBE geometry in the Materials Project.
Kinematic intensities with the Lorentz-polarization factor, no thermal factor.

Top 6 peaks for 2θ = 10–90°, low angle first:
(1 1 4), 39.41 deg, d 2.286, I = 100
(0 0 8), 44.32 deg, d 2.044, I = 16
(2 0 0), 46.57 deg, d 1.950, I = 31
(2 0 8), 66.23 deg, d 1.411, I = 18
(1 1 12), 78.25 deg, d 1.222, I = 10
(3 1 4), 81.51 deg, d 1.181, I = 22

Atomic structure:
a = 3.901 Å, b = 3.901 Å, c = 16.351 Å
α = 90.00°, β = 90.00°, γ = 90.00°
Space group P4mm (No. 99)
Inequivalent atoms, fractional coordinates:
Ti  0.000  0.000  0.000
Ti  0.000  0.000  0.233
Ti  0.500  0.500  0.494
Ti  0.500  0.500  0.732
Al  0.000  0.000  0.480
Al  0.000  0.000  0.738
Al  0.000  0.500  0.122
Al  0.000  0.500  0.353
Al  0.000  0.500  0.611
Al  0.000  0.500  0.866
Al  0.500  0.500  0.992
Ni  0.500  0.500  0.235

---

BaTiO3: simulated XRD peak list (Cu Kα), based on the GGA-PBE geometry in the Materials Project.
Kinematic intensities with the Lorentz-polarization factor, no thermal factor.

Top 6 peaks for 2θ = 10–90°, low angle first:
(1 1 3), 25.90 deg, d 3.441, I = 38
(2 0 0), 30.61 deg, d 2.920, I = 29
(1 3 0), 30.86 deg, d 2.897, I = 100
(0 2 4), 30.96 deg, d 2.888, I = 21
(2 2 3), 40.56 deg, d 2.224, I = 19
(2 2 4), 44.10 deg, d 2.054, I = 25

Atomic structure:
a = 5.841 Å, b = 10.017 Å, c = 14.142 Å
α = 90.00°, β = 90.00°, γ = 90.00°
Space group C222_1 (No. 20)
Inequivalent atoms, fractional coordinates:
Ba  0.000  0.000  0.250
Ba  0.015  0.334  0.096
Ti  0.026  0.332  0.846
Ti  0.029  0.000  0.000
O  0.000  0.480  0.750
O  0.001  0.165  0.580
O  0.225  0.256  0.754
O  0.245  0.081  0.081
O  0.249  0.416  0.919

---

ThFe4P2: simulated XRD peak list (Cu Kα), based on the GGA-PBE geometry in the Materials Project.
Kinematic intensities with the Lorentz-polarization factor, no thermal factor.

Top 6 peaks for 2θ = 10–90°, low angle first:
(0 4 0), 25.00 deg, d 3.561, I = 63
(4 2 0), 35.76 deg, d 2.511, I = 59
(1 4 1), 35.90 deg, d 2.502, I = 74
(3 2 1), 37.09 deg, d 2.424, I = 100
(3 3 1), 39.79 deg, d 2.265, I = 88
(0 0 2), 49.02 deg, d 1.858, I = 57

Atomic structure:
a = 10.730 Å, b = 14.256 Å, c = 3.717 Å
α = 90.00°, β = 90.00°, γ = 90.00°
Space group Pnnm (No. 58)
Inequivalent atoms, fractional coordinates:
Th  0.000  0.000  0.000
Th  0.123  0.274  0.000
Fe  0.069  0.826  0.500
Fe  0.078  0.555  0.000
Fe  0.093  0.447  0.500
Fe  0.177  0.711  0.000
Fe  0.235  0.579  0.500
Fe  0.239  0.963  0.500
P  0.070  0.665  0.500
P  0.150  0.114  0.500
P  0.204  0.868  0.000

---

Ti2TcPd: simulated XRD peak list (Cu Kα), based on the GGA-PBE geometry in the Materials Project.
Kinematic intensities with the Lorentz-polarization factor, no thermal factor.

Top 6 peaks for 2θ = 10–90°, low angle first:
(2 0 0), 28.50 deg, d 3.132, I = 19
(2 2 0), 40.74 deg, d 2.215, I = 100
(4 0 0), 58.98 deg, d 1.566, I = 16
(4 2 0), 66.79 deg, d 1.401, I = 7
(4 2 2), 74.16 deg, d 1.279, I = 31
(4 4 0), 88.24 deg, d 1.107, I = 10

Atomic structure:
a = 6.264 Å, b = 6.264 Å, c = 6.264 Å
α = 90.00°, β = 90.00°, γ = 90.00°
Space group Fm-3m (No. 225)
Inequivalent atoms, fractional coordinates:
Ti  0.250  0.250  0.250
Tc  0.000  0.000  0.000
Pd  0.000  0.000  0.500

---

RuC2N2: simulated XRD peak list (Cu Kα), based on the GGA-PBE geometry in the Materials Project.
Kinematic intensities with the Lorentz-polarization factor, no thermal factor.

Top 6 peaks for 2θ = 10–90°, low angle first:
(1 1 1), 20.75 deg, d 4.281, I = 100
(1 1 2), 24.78 deg, d 3.594, I = 100
(0 2 1), 26.21 deg, d 3.400, I = 35
(2 0 0), 29.48 deg, d 3.030, I = 30
(2 2 1), 39.85 deg, d 2.262, I = 30
(1 3 2), 43.91 deg, d 2.062, I = 33

Atomic structure:
a = 6.061 Å, b = 7.120 Å, c = 11.454 Å
α = 90.00°, β = 90.00°, γ = 90.00°
Space group Pbca (No. 61)
Inequivalent atoms, fractional coordinates:
Ru  0.002  0.113  0.131
C  0.101  0.653  0.816
C  0.244  0.244  0.078
N  0.121  0.648  0.539
N  0.162  0.002  0.288